Starting from a crystal structure in the Materials Project, relaxed with GGA+U, the X-ray diffraction stick pattern of CaVFeP4O14 was computed for Cu Kα (λ = 1.5418 Å).
Intensities are scaled so that the largest is 100.

a = 4.964 Å, b = 7.131 Å, c = 8.687 Å
α = 84.88°, β = 86.15°, γ = 74.63°
Space group P1 (No. 1)
Unique sites:
1 Ca 0.000 0.000 0.000 x1
2 V 0.859 0.290 0.385 x1
3 Fe 0.472 0.669 0.836 x1
4 P 0.016 0.503 0.065 x1
5 P 0.253 0.499 0.554 x1
6 P 0.433 0.134 0.169 x1
7 P 0.924 0.886 0.624 x1
8 O 0.014 0.400 0.540 x1
9 O 0.100 0.921 0.752 x1
10 O 0.121 0.731 0.511 x1
11 O 0.160 0.668 0.026 x1
12 O 0.237 0.123 0.309 x1
13 O 0.259 0.301 0.045 x1
14 O 0.352 0.471 0.717 x1
15 O 0.481 0.441 0.426 x1
16 O 0.506 0.960 0.068 x1
17 O 0.676 0.814 0.685 x1
18 O 0.709 0.180 0.202 x1
19 O 0.796 0.493 0.957 x1
20 O 0.831 0.072 0.513 x1
21 O 0.919 0.494 0.238 x1

Most intense lines, 15 to 90 degrees two-theta, by angle:
| 2θ/deg | I (rel.) |
| --- | --- |
| 15.9 | 56 |
| 17.1 | 100 |
| 23.1 | 22 |
| 27.2 | 71 |
| 27.4 | 42 |
| 28.5 | 20 |
| 28.7 | 29 |
| 29.9 | 16 |
| 30.7 | 14 |
| 39.3 | 14 |